[1]
The following is a simulated PXRD pattern of Dy3Ga3Cu2. It was derived from a crystal structure in Alexandria, relaxed with PBE, using Cu Ka.
Neutral-atom scattering factors, no anomalous dispersion.

Crystal structure
```
data_Dy3Ga3Cu2
_chemical_formula_sum 'Dy12 Ga12 Cu8'
_cell_length_a 4.330
_cell_length_b 10.318
_cell_length_c 14.509
_cell_angle_alpha 90.00
_cell_angle_beta 90.00
_cell_angle_gamma 90.00
_space_group_name_H-M_alt 'C m c m'
_space_group_IT_number 63
_space_group_name_Hall '-C 2c 2'
loop_
_atom_site_label
_atom_site_type_symbol
_atom_site_fract_x
_atom_site_fract_y
_atom_site_fract_z
Dy1 Dy 0.000 0.097 0.107
Dy2 Dy 0.000 0.373 0.250
Ga1 Ga 0.000 0.335 0.750
Ga2 Ga 0.000 0.385 0.039
Cu1 Cu 0.000 0.200 0.600
```

Peak list (10 most intense, 2θ from 10° to 80°, in order of falling intensity)
h k l  d [Å]  intensity
1 1 4  2.685  100
2 0 0  2.164  77
1 3 1  2.648  59
1 3 3  2.352  35
0 4 0  2.579  28
0 2 5  2.527  27
2 4 0  1.658  25
1 3 7  1.643  23
0 0 6  2.418  22
0 4 3  2.276  16

[2]
The following is a simulated PXRD pattern of Ca2Ga3Ge. It was derived from a crystal structure in Alexandria, relaxed with PBE, using Cu Ka.
Neutral-atom scattering factors, no anomalous dispersion.

Crystal structure
```
data_Ca2Ga3Ge
_chemical_formula_sum 'Ca2 Ga3 Ge1'
_cell_length_a 4.275
_cell_length_b 4.416
_cell_length_c 7.336
_cell_angle_alpha 90.00
_cell_angle_beta 90.00
_cell_angle_gamma 90.00
_space_group_name_H-M_alt 'P m m 2'
_space_group_IT_number 25
loop_
_space_group_symop_operation_xyz
'x,y,z'
'-x,-y,z'
'-x,y,z'
'x,-y,z'
loop_
_atom_site_label
_atom_site_type_symbol
_atom_site_fract_x
_atom_site_fract_y
_atom_site_fract_z
Ca1 Ca 0.000 0.000 0.000
Ca2 Ca 0.500 0.000 0.494
Ga1 Ga 0.000 0.500 0.335
Ga2 Ga 0.000 0.500 0.668
Ga3 Ga 0.500 0.500 0.825
Ge1 Ge 0.500 0.500 0.162
```

Peak list (10 most intense, 2θ from 10° to 80°, in order of falling intensity)
h k l  d [Å]  intensity
1 1 1  2.833  100
0 1 0  4.416  62
1 0 3  2.123  58
0 1 2  2.822  51
1 2 3  1.530  39
0 2 0  2.208  33
2 0 0  2.138  30
1 1 3  1.913  27
2 1 2  1.704  21
2 2 0  1.536  20

[3]
The following is a simulated PXRD pattern of PmB2O4. It was derived from a crystal structure in Alexandria, relaxed with PBE, using Cu Ka.
Neutral-atom scattering factors, no anomalous dispersion.

Crystal structure
```
data_PmB2O4
_chemical_formula_sum 'Pm1 B2 O4'
_cell_length_a 3.581
_cell_length_b 3.581
_cell_length_c 5.640
_cell_angle_alpha 90.00
_cell_angle_beta 90.00
_cell_angle_gamma 90.00
_space_group_name_H-M_alt 'P -4 2 m'
_space_group_IT_number 111
loop_
_space_group_symop_operation_xyz
'x,y,z'
'y,-x,-z'
'-x,-y,z'
'-y,x,-z'
'x,-y,-z'
'y,x,z'
'-x,y,-z'
'-y,-x,z'
loop_
_atom_site_label
_atom_site_type_symbol
_atom_site_fract_x
_atom_site_fract_y
_atom_site_fract_z
Pm1 Pm 0.000 0.000 0.000
B1 B 0.000 0.500 0.500
O1 O 0.251 0.251 0.648
```

Peak list (10 most intense, 2θ from 10° to 80°, in order of falling intensity)
h k l  d [Å]  intensity
1 0 1  3.023  100
1 0 0  3.581  77
1 1 1  2.310  64
1 0 2  2.216  42
0 0 1  5.640  34
2 0 2  1.511  33
2 1 1  1.541  27
1 1 2  1.884  25
1 1 0  2.532  24
2 0 1  1.707  24

[4]
The following is a simulated PXRD pattern of AcNd4Er3. It was derived from a crystal structure in Alexandria, relaxed with PBE, using Cu Ka.
Neutral-atom scattering factors, no anomalous dispersion.

Crystal structure
```
data_AcNd4Er3
_chemical_formula_sum 'Ac2 Nd8 Er6'
_cell_length_a 3.776
_cell_length_b 5.942
_cell_length_c 24.900
_cell_angle_alpha 90.00
_cell_angle_beta 90.00
_cell_angle_gamma 90.00
_space_group_name_H-M_alt 'I m m m'
_space_group_IT_number 71
_space_group_name_Hall '-I 2 2'
loop_
_atom_site_label
_atom_site_type_symbol
_atom_site_fract_x
_atom_site_fract_y
_atom_site_fract_z
Ac1 Ac 0.000 0.000 0.000
Nd1 Nd 0.000 0.500 0.114
Nd2 Nd 0.000 0.500 0.358
Er1 Er 0.000 0.000 0.266
Er2 Er 0.000 0.000 0.500
```

Peak list (10 most intense, 2θ from 10° to 80°, in order of falling intensity)
h k l  d [Å]  intensity
1 1 4  2.837  100
0 2 0  2.971  31
0 0 8  3.112  23
1 3 4  1.688  22
0 2 8  2.149  17
1 1 12  1.739  10
2 2 0  1.593  10
2 2 8  1.418  9
0 1 7  3.052  9
2 0 0  1.888  9

[5]
The following is a simulated PXRD pattern of Pr3NdHo6. It was derived from a crystal structure in Alexandria, relaxed with PBE, using Cu Ka.
Neutral-atom scattering factors, no anomalous dispersion.

Crystal structure
```
data_Pr3NdHo6
_chemical_formula_sum 'Pr12 Nd4 Ho24'
_cell_length_a 11.068
_cell_length_b 19.017
_cell_length_c 6.349
_cell_angle_alpha 90.00
_cell_angle_beta 90.00
_cell_angle_gamma 90.00
_space_group_name_H-M_alt 'C m c 21'
_space_group_IT_number 36
loop_
_space_group_symop_operation_xyz
'x,y,z'
'-x,-y,z+1/2'
'-x,y,z'
'x,-y,z+1/2'
'x+1/2,y+1/2,z'
'-x+1/2,-y+1/2,z+1/2'
'-x+1/2,y+1/2,z'
'x+1/2,-y+1/2,z+1/2'
loop_
_atom_site_label
_atom_site_type_symbol
_atom_site_fract_x
_atom_site_fract_y
_atom_site_fract_z
Pr1 Pr 0.000 0.111 0.000
Pr2 Pr 0.177 0.387 0.605
Nd1 Nd 0.000 0.304 0.937
Ho1 Ho 0.000 0.226 0.422
Ho2 Ho 0.000 0.460 0.193
Ho3 Ho 0.167 0.046 0.526
Ho4 Ho 0.242 0.210 0.696
```

Peak list (10 most intense, 2θ from 10° to 80°, in order of falling intensity)
h k l  d [Å]  intensity
0 6 1  2.836  100
2 4 1  3.139  87
2 2 2  2.646  83
3 3 1  2.849  67
1 1 2  3.012  32
2 0 2  2.753  30
2 4 3  1.825  22
3 3 0  3.189  21
3 9 0  1.833  20
0 0 2  3.173  20

[6]
The following is a simulated PXRD pattern of Sm2Tm3Ag3. It was derived from a crystal structure in Alexandria, relaxed with PBE, using Cu Ka.
Neutral-atom scattering factors, no anomalous dispersion.

Crystal structure
```
data_Sm2Tm3Ag3
_chemical_formula_sum 'Sm4 Tm6 Ag6'
_cell_length_a 3.683
_cell_length_b 5.211
_cell_length_c 21.459
_cell_angle_alpha 90.00
_cell_angle_beta 90.00
_cell_angle_gamma 90.00
_space_group_name_H-M_alt 'I m m m'
_space_group_IT_number 71
_space_group_name_Hall '-I 2 2'
loop_
_atom_site_label
_atom_site_type_symbol
_atom_site_fract_x
_atom_site_fract_y
_atom_site_fract_z
Sm1 Sm 0.000 0.000 0.231
Tm1 Tm 0.000 0.000 0.000
Tm2 Tm 0.000 0.500 0.118
Ag1 Ag 0.000 0.000 0.500
Ag2 Ag 0.000 0.500 0.387
```

Peak list (10 most intense, 2θ from 10° to 80°, in order of falling intensity)
h k l  d [Å]  intensity
1 1 4  2.624  100
0 2 0  2.606  27
0 0 8  2.682  20
1 3 4  1.508  18
0 2 8  1.869  14
2 2 0  1.504  10
2 0 0  1.842  9
1 1 12  1.537  9
2 2 8  1.312  9
2 0 8  1.518  7

[7]
The following is a simulated PXRD pattern of Tb2Ni3B6. It was derived from a crystal structure in Alexandria, relaxed with PBE, using Cu Ka.
Neutral-atom scattering factors, no anomalous dispersion.

Crystal structure
```
data_Tb2Ni3B6
_chemical_formula_sum 'Tb4 Ni6 B12'
_cell_length_a 7.753
_cell_length_b 8.666
_cell_length_c 3.494
_cell_angle_alpha 90.00
_cell_angle_beta 90.00
_cell_angle_gamma 90.00
_space_group_name_H-M_alt 'C m m m'
_space_group_IT_number 65
_space_group_name_Hall '-C 2 2'
loop_
_atom_site_label
_atom_site_type_symbol
_atom_site_fract_x
_atom_site_fract_y
_atom_site_fract_z
Tb1 Tb 0.000 0.225 0.000
Ni1 Ni 0.000 0.500 0.500
Ni2 Ni 0.228 0.500 0.000
B1 B 0.113 0.000 0.500
B2 B 0.236 0.350 0.500
```

Peak list (10 most intense, 2θ from 10° to 80°, in order of falling intensity)
h k l  d [Å]  intensity
2 2 1  2.226  100
2 2 0  2.889  50
0 0 1  3.494  36
2 0 0  3.877  21
0 2 1  2.720  20
0 4 0  2.167  18
4 0 0  1.938  17
1 3 0  2.707  15
0 0 2  1.747  14
2 2 2  1.495  14

[8]
The following is a simulated PXRD pattern of CeTm2Zr. It was derived from a crystal structure in Alexandria, relaxed with PBE, using Cu Ka.
Neutral-atom scattering factors, no anomalous dispersion.

Crystal structure
```
data_CeTm2Zr
_chemical_formula_sum 'Ce3 Tm6 Zr3'
_cell_length_a 3.3800
_cell_length_b 3.3800
_cell_length_c 33.6366
_cell_angle_alpha 90.00
_cell_angle_beta 90.00
_cell_angle_gamma 120.00
_space_group_name_H-M_alt 'R 3 m'
_space_group_IT_number 160
_space_group_name_Hall 'R 3 -2"'
loop_
_atom_site_label
_atom_site_type_symbol
_atom_site_fract_x
_atom_site_fract_y
_atom_site_fract_z
Ce1 Ce 0.0000 0.0000 0.0000
Tm1 Tm 0.0000 0.0000 0.5775
Tm2 Tm 0.0000 0.0000 0.7542
Zr1 Zr 0.0000 0.0000 0.1658
```

Peak list (10 most intense, 2θ from 10° to 80°, in order of falling intensity)
h k l  d [Å]  intensity
0 1 5  2.684  100
1 0 7  2.500  64
0 0 12  2.803  47
1 1 12  1.447  37
1 1 0  1.690  34
0 1 17  1.639  24
0 1 2  2.884  23
1 0 4  2.764  21
1 0 10  2.208  20
1 0 1  2.916  15

[9]
The following is a simulated PXRD pattern of Cs2DyAg2Br6. It was derived from a crystal structure in Alexandria, relaxed with PBE, using Cu Ka.
Neutral-atom scattering factors, no anomalous dispersion.

Crystal structure
```
data_Cs2DyAg2Br6
_chemical_formula_sum 'Cs4 Dy2 Ag4 Br12'
_cell_length_a 14.171
_cell_length_b 8.126
_cell_length_c 9.166
_cell_angle_alpha 90.00
_cell_angle_beta 122.65
_cell_angle_gamma 90.00
_space_group_name_H-M_alt 'C 1 2/m 1'
_space_group_IT_number 12
loop_
_space_group_symop_operation_xyz
'x,y,z'
'-x,-y,-z'
'-x,y,-z'
'x,-y,z'
'x+1/2,y+1/2,z'
'-x+1/2,-y+1/2,-z'
'-x+1/2,y+1/2,-z'
'x+1/2,-y+1/2,z'
loop_
_atom_site_label
_atom_site_type_symbol
_atom_site_fract_x
_atom_site_fract_y
_atom_site_fract_z
Cs1 Cs 0.213 0.000 0.186
Dy1 Dy 0.000 0.000 0.500
Ag1 Ag 0.048 0.500 0.175
Br1 Br 0.055 0.237 0.759
Br2 Br 0.223 0.000 0.590
```

Peak list (10 most intense, 2θ from 10° to 80°, in order of falling intensity)
h k l  d [Å]  intensity
3 1 -1  4.083  100
1 1 -2  3.896  89
2 2 -2  3.030  78
4 0 -1  3.489  58
1 1 1  4.442  53
0 2 0  4.063  45
3 1 2  2.153  37
0 4 0  2.032  36
1 3 -2  2.312  32
1 1 -1  6.059  31

[10]
The following is a simulated PXRD pattern of Er3TlHg5. It was derived from a crystal structure in Alexandria, relaxed with PBE, using Cu Ka.
Neutral-atom scattering factors, no anomalous dispersion.

Crystal structure
```
data_Er3TlHg5
_chemical_formula_sum 'Er6 Tl2 Hg10'
_cell_length_a 8.9378
_cell_length_b 8.9378
_cell_length_c 6.3614
_cell_angle_alpha 90.00
_cell_angle_beta 90.00
_cell_angle_gamma 120.00
_space_group_name_H-M_alt 'P 63/m c m'
_space_group_IT_number 193
_space_group_name_Hall '-P 6c 2'
loop_
_atom_site_label
_atom_site_type_symbol
_atom_site_fract_x
_atom_site_fract_y
_atom_site_fract_z
Er1 Er 0.0000 0.3366 0.2500
Tl1 Tl 0.0000 0.0000 0.0000
Hg1 Hg 0.0000 0.3341 0.7500
Hg2 Hg 0.3333 0.6667 0.0000
```

Peak list (10 most intense, 2θ from 10° to 80°, in order of falling intensity)
h k l  d [Å]  intensity
3 0 0  2.580  100
1 1 2  2.591  93
4 1 2  1.492  35
2 2 2  1.828  34
3 0 4  1.354  28
3 3 0  1.490  19
6 0 0  1.290  12
3 0 2  2.004  8
0 0 4  1.590  8
0 0 2  3.181  5

[11]
The following is a simulated PXRD pattern of MgH8C2S2N2O4. It was derived from a crystal structure in Alexandria, relaxed with PBE, using Cu Ka.
Neutral-atom scattering factors, no anomalous dispersion.

Crystal structure
```
data_MgH8C2S2N2O4
_chemical_formula_sum 'Mg2 H16 C4 S4 N4 O8'
_cell_length_a 8.038
_cell_length_b 9.099
_cell_length_c 7.610
_cell_angle_alpha 90.00
_cell_angle_beta 116.32
_cell_angle_gamma 90.00
_space_group_name_H-M_alt 'P 1 21/c 1'
_space_group_IT_number 14
loop_
_space_group_symop_operation_xyz
'x,y,z'
'-x,-y,-z'
'-x,y+1/2,-z+1/2'
'x,-y+1/2,z+1/2'
loop_
_atom_site_label
_atom_site_type_symbol
_atom_site_fract_x
_atom_site_fract_y
_atom_site_fract_z
Mg1 Mg 0.000 0.000 0.000
H1 H 0.133 0.198 0.319
H2 H 0.215 0.041 0.394
H3 H 0.240 0.055 0.840
H4 H 0.322 0.118 0.052
C1 C 0.270 0.710 0.144
S1 S 0.396 0.560 0.194
N1 N 0.179 0.683 0.606
O1 O 0.124 0.094 0.278
O2 O 0.204 0.112 0.929
```

Peak list (10 most intense, 2θ from 10° to 80°, in order of falling intensity)
h k l  d [Å]  intensity
1 1 1  3.755  100
2 1 -1  3.663  82
0 1 2  3.193  65
2 1 -2  3.117  56
1 0 -2  3.803  46
0 2 1  3.785  44
2 3 0  2.320  35
2 1 1  2.611  33
0 2 0  4.550  33
0 1 1  5.458  28

[12]
The following is a simulated PXRD pattern of Tm2Ga4Co5. It was derived from a crystal structure in Alexandria, relaxed with PBE, using Cu Ka.
Neutral-atom scattering factors, no anomalous dispersion.

Crystal structure
```
data_Tm2Ga4Co5
_chemical_formula_sum 'Tm8 Ga16 Co20'
_cell_length_a 5.349
_cell_length_b 8.951
_cell_length_c 14.335
_cell_angle_alpha 90.00
_cell_angle_beta 90.00
_cell_angle_gamma 90.00
_space_group_name_H-M_alt 'F m m m'
_space_group_IT_number 69
_space_group_name_Hall '-F 2 2'
loop_
_atom_site_label
_atom_site_type_symbol
_atom_site_fract_x
_atom_site_fract_y
_atom_site_fract_z
Tm1 Tm 0.000 0.000 0.124
Ga1 Ga 0.000 0.158 0.370
Co1 Co 0.000 0.000 0.500
Co2 Co 0.250 0.250 0.000
Co3 Co 0.250 0.250 0.250
```

Peak list (10 most intense, 2θ from 10° to 80°, in order of falling intensity)
h k l  d [Å]  intensity
1 3 3  2.288  100
2 0 4  2.143  100
1 3 1  2.564  71
0 2 4  2.797  53
2 2 0  2.296  52
1 3 5  1.928  48
0 0 8  1.792  37
0 0 4  3.584  30
1 1 3  3.311  30
2 0 0  2.674  28